[1]
This entry pairs a crystal structure of LaYO3 with its calculated powder diffraction line list. Radiation: λ = 1.5418 Å (Cu Kα). Structure: a GGA-PBE-relaxed structure.

Atomic structure:
```
data_LaYO3
_chemical_formula_sum 'La4 Y4 O12'
_symmetry_space_group_name_H-M 'P n m a'
_symmetry_Int_Tables_number 62
_cell_length_a 6.1236
_cell_length_b 8.6109
_cell_length_c 5.9159
_cell_angle_alpha 90.00
_cell_angle_beta 90.00
_cell_angle_gamma 90.00
loop_
_symmetry_equiv_pos_as_xyz
'x,y,z'
'-x,-y,-z'
'-x+1/2,-y,z+1/2'
'x+1/2,y,-z+1/2'
'x+1/2,-y+1/2,-z+1/2'
'-x+1/2,y+1/2,z+1/2'
'-x,y+1/2,-z'
'x,-y+1/2,z'
loop_
_atom_site_label
_atom_site_type_symbol
_atom_site_fract_x
_atom_site_fract_y
_atom_site_fract_z
La1 La 0.0477 0.2500 0.0159
Y1 Y 0.0000 0.0000 0.5000
O1 O 0.0627 0.7500 0.3673
O2 O 0.1930 0.5709 0.8089
```

The 6 most intense peaks (2θ = 10–90°), sorted by position:
2θ = 29.2°, I = 22, hkl 2 0 0
2θ = 29.5°, I = 100, hkl 1 2 1
2θ = 30.2°, I = 21, hkl 0 0 2
2θ = 42.5°, I = 20, hkl 2 0 2
2θ = 51.9°, I = 26, hkl 2 4 0
2θ = 53.2°, I = 23, hkl 1 2 3



[2]
This entry pairs a crystal structure of TeMoWSeS2 with its calculated powder diffraction line list. Radiation: λ = 1.5418 Å (Cu Kα). Structure: a GGA-PBE-relaxed structure.

Atomic structure:
```
data_TeMoWSeS2
_chemical_formula_sum 'Te2 Mo2 W2 Se2 S4'
_symmetry_space_group_name_H-M 'P 3 m 1'
_symmetry_Int_Tables_number 156
_cell_length_a 3.3112
_cell_length_b 3.3112
_cell_length_c 37.6406
_cell_angle_alpha 90.00
_cell_angle_beta 90.00
_cell_angle_gamma 120.00
loop_
_symmetry_equiv_pos_as_xyz
'x,y,z'
'-y,x-y,z'
'-x+y,-x,z'
'-y,-x,z'
'-x+y,y,z'
'x,x-y,z'
loop_
_atom_site_label
_atom_site_type_symbol
_atom_site_fract_x
_atom_site_fract_y
_atom_site_fract_z
Te1 Te 0.0000 0.0000 0.0000
Te2 Te 0.0000 0.0000 0.1022
Mo1 Mo 0.0000 0.0000 0.4875
Mo2 Mo 0.0000 0.0000 0.8632
W1 W 0.3333 0.6667 0.0511
W2 W 0.3333 0.6667 0.6753
Se1 Se 0.0000 0.0000 0.6305
Se2 Se 0.0000 0.0000 0.7202
S1 S 0.3333 0.6667 0.4469
S2 S 0.3333 0.6667 0.5280
S3 S 0.3333 0.6667 0.8226
S4 S 0.3333 0.6667 0.9038
```

The 6 most intense peaks (2θ = 10–90°), sorted by position:
2θ = 11.8°, I = 100, hkl 0 0 5
2θ = 14.1°, I = 21, hkl 0 0 6
2θ = 31.2°, I = 35, hkl 1 0 0
2θ = 36.7°, I = 78, hkl 1 0 8
2θ = 44.5°, I = 40, hkl 0 1 13
2θ = 55.5°, I = 26, hkl 1 1 0



[3]
This entry pairs a crystal structure of Y2Fe17C with its calculated powder diffraction line list. Radiation: λ = 1.5418 Å (Cu Kα). Structure: a GGA-PBE-relaxed structure.

Atomic structure:
```
data_Y2Fe17C
_chemical_formula_sum 'Y8 Fe68 C4'
_symmetry_space_group_name_H-M 'A m m 2'
_symmetry_Int_Tables_number 38
_cell_length_a 8.2538
_cell_length_b 8.5668
_cell_length_c 14.9006
_cell_angle_alpha 90.00
_cell_angle_beta 90.00
_cell_angle_gamma 90.00
loop_
_symmetry_equiv_pos_as_xyz
'x,y,z'
'-x,-y,z'
'-x,y,z'
'x,-y,z'
'x,y+1/2,z+1/2'
'-x,-y+1/2,z+1/2'
'-x,y+1/2,z+1/2'
'x,-y+1/2,z+1/2'
loop_
_atom_site_label
_atom_site_type_symbol
_atom_site_fract_x
_atom_site_fract_y
_atom_site_fract_z
Y1 Y 0.0000 0.0000 0.0000
Y2 Y 0.0000 0.0000 0.3264
Y3 Y 0.5000 0.0000 0.3315
Y4 Y 0.5000 0.0000 0.6641
Fe1 Fe 0.0000 0.1384 0.5200
Fe2 Fe 0.0000 0.1462 0.8052
Fe3 Fe 0.0000 0.2120 0.1664
Fe4 Fe 0.1447 0.0000 0.6639
Fe5 Fe 0.2302 0.0000 0.1648
Fe6 Fe 0.2323 0.2493 0.9146
Fe7 Fe 0.2521 0.2488 0.5816
Fe8 Fe 0.2533 0.0000 0.8290
Fe9 Fe 0.2704 0.2504 0.2467
Fe10 Fe 0.2723 0.0000 0.4987
Fe11 Fe 0.3561 0.0000 0.9981
Fe12 Fe 0.5000 0.1427 0.1451
Fe13 Fe 0.5000 0.1503 0.8526
Fe14 Fe 0.5000 0.2101 0.4953
C1 C 0.0000 0.2474 0.4134
```

The 6 most intense peaks (2θ = 10–90°), sorted by position:
2θ = 40.8°, I = 61, hkl 3 0 4
2θ = 42.1°, I = 70, hkl 0 2 6
2θ = 42.5°, I = 49, hkl 2 0 6
2θ = 42.6°, I = 100, hkl 2 3 3
2θ = 43.9°, I = 55, hkl 4 0 0
2θ = 47.7°, I = 48, hkl 2 2 6



[4]
This entry pairs a crystal structure of KLiCO3 with its calculated powder diffraction line list. Radiation: λ = 1.5418 Å (Cu Kα). Structure: a GGA-PBE-relaxed structure.

Atomic structure:
```
data_KLiCO3
_chemical_formula_sum 'K4 Li4 C4 O12'
_symmetry_space_group_name_H-M 'P 1 21/c 1'
_symmetry_Int_Tables_number 14
_cell_length_a 6.7363
_cell_length_b 7.1748
_cell_length_c 7.7704
_cell_angle_alpha 90.00
_cell_angle_beta 119.86
_cell_angle_gamma 90.00
loop_
_symmetry_equiv_pos_as_xyz
'x,y,z'
'-x,-y,-z'
'-x,y+1/2,-z+1/2'
'x,-y+1/2,z+1/2'
loop_
_atom_site_label
_atom_site_type_symbol
_atom_site_fract_x
_atom_site_fract_y
_atom_site_fract_z
K1 K 0.1673 0.1464 0.3446
Li1 Li 0.4033 0.5696 0.2994
C1 C 0.2962 0.6682 0.5822
O1 O 0.1600 0.6904 0.0309
O2 O 0.2590 0.5265 0.4650
O3 O 0.4817 0.6666 0.7588
```

The 6 most intense peaks (2θ = 10–90°), sorted by position:
2θ = 27.6°, I = 17, hkl 1 1 1
2θ = 28.8°, I = 100, hkl 2 0 -2
2θ = 29.3°, I = 31, hkl 0 1 2
2θ = 31.4°, I = 40, hkl 2 1 -2
2θ = 39.0°, I = 16, hkl 1 1 2
2θ = 46.6°, I = 15, hkl 3 0 0



[5]
This entry pairs a crystal structure of SrSO4 with its calculated powder diffraction line list. Radiation: λ = 1.5418 Å (Cu Kα). Structure: a GGA-PBE-relaxed structure.

Atomic structure:
```
data_SrSO4
_chemical_formula_sum 'Sr4 S4 O16'
_symmetry_space_group_name_H-M 'P n m a'
_symmetry_Int_Tables_number 62
_cell_length_a 14.0299
_cell_length_b 5.2033
_cell_length_c 4.8114
_cell_angle_alpha 90.00
_cell_angle_beta 90.00
_cell_angle_gamma 90.00
loop_
_symmetry_equiv_pos_as_xyz
'x,y,z'
'-x,-y,-z'
'-x+1/2,-y,z+1/2'
'x+1/2,y,-z+1/2'
'x+1/2,-y+1/2,-z+1/2'
'-x+1/2,y+1/2,z+1/2'
'-x,y+1/2,-z'
'x,-y+1/2,z'
loop_
_atom_site_label
_atom_site_type_symbol
_atom_site_fract_x
_atom_site_fract_y
_atom_site_fract_z
Sr1 Sr 0.1026 0.2500 0.2196
S1 S 0.1304 0.7500 0.6826
O1 O 0.0730 0.5169 0.7632
O2 O 0.1409 0.7500 0.3754
O3 O 0.2230 0.7500 0.8258
```

The 6 most intense peaks (2θ = 10–90°), sorted by position:
2θ = 25.2°, I = 100, hkl 0 1 1
2θ = 25.4°, I = 46, hkl 4 0 0
2θ = 34.5°, I = 21, hkl 0 2 0
2θ = 36.1°, I = 33, hkl 4 1 1
2θ = 37.4°, I = 24, hkl 0 0 2
2θ = 41.5°, I = 24, hkl 2 2 1



[6]
This entry pairs a crystal structure of YCo2Ge2 with its calculated powder diffraction line list. Radiation: λ = 1.5418 Å (Cu Kα). Structure: a GGA-PBE-relaxed structure.

Atomic structure:
```
data_YCo2Ge2
_chemical_formula_sum 'Y2 Co4 Ge4'
_symmetry_space_group_name_H-M 'I 4/m m m'
_symmetry_Int_Tables_number 139
_symmetry_space_group_name_Hall '-I 4 2'
_cell_length_a 3.9644
_cell_length_b 3.9644
_cell_length_c 10.1460
_cell_angle_alpha 90.00
_cell_angle_beta 90.00
_cell_angle_gamma 90.00
loop_
_atom_site_label
_atom_site_type_symbol
_atom_site_fract_x
_atom_site_fract_y
_atom_site_fract_z
Y1 Y 0.0000 0.0000 0.0000
Co1 Co 0.0000 0.5000 0.2500
Ge1 Ge 0.0000 0.0000 0.3720
```

The 6 most intense peaks (2θ = 10–90°), sorted by position:
2θ = 34.9°, I = 100, hkl 1 0 3
2θ = 36.6°, I = 93, hkl 1 1 2
2θ = 45.8°, I = 74, hkl 2 0 0
2θ = 48.4°, I = 32, hkl 1 1 4
2θ = 50.5°, I = 29, hkl 1 0 5
2θ = 58.8°, I = 43, hkl 2 1 3